Simulated powder XRD pattern of Nd4CCl6 for Cu Kα (λ = 1.5418 Å), from a DFT-relaxed cell (PBE, Alexandria).
Peak positions follow from Bragg's law for the DFT cell and can differ from measured ones.

Peak list (10 most intense, 2θ from 15° to 90°, sorted by position)
hkl 1 0 1, 5.429 Å, I 32; hkl 2 0 1, 3.806 Å, I 100; hkl 2 2 0, 3.269 Å, I 25; hkl 3 0 1, 2.800 Å, I 16; hkl 2 1 2, 2.604 Å, I 52; hkl 3 2 1, 2.395 Å, I 28; hkl 4 0 0, 2.312 Å, I 32; hkl 3 2 2, 2.037 Å, I 14; hkl 4 2 1, 1.976 Å, I 31; hkl 5 2 2, 1.528 Å, I 15

Cell and atoms:
a b c (Å): 9.2461 9.2461 6.7062
angles (deg): 90.00 90.00 90.00
Space group P4_2/nmc (No. 137, origin choice 2)
Symmetry-distinct sites (fractional):
Nd 0.0133 0.7500 0.1094 x8
C 0.2500 0.7500 0.2500 x2
Cl 0.0472 0.5472 0.7500 x8
Cl 0.2500 0.2500 0.1511 x4

Simulated powder XRD pattern of Zr6SiI14 for Cu Kα (λ = 1.5418 Å), from a DFT-relaxed cell (PBE, Alexandria).
Peak positions follow from Bragg's law for the DFT cell and can differ from measured ones.

Peak list (10 most intense, 2θ from 15° to 90°, sorted by position)
hkl 4 2 1, 3.445 Å, I 41; hkl 0 0 4, 3.295 Å, I 34; hkl 0 4 2, 3.224 Å, I 88; hkl 4 2 2, 3.138 Å, I 100; hkl 0 4 3, 2.828 Å, I 37; hkl 4 2 3, 2.770 Å, I 100; hkl 4 2 5, 2.121 Å, I 29; hkl 4 6 0, 2.109 Å, I 56; hkl 8 0 0, 2.038 Å, I 32; hkl 8 4 2, 1.722 Å, I 27

Cell and atoms:
a b c (Å): 16.3008 14.7862 13.1816
angles (deg): 90.00 90.00 90.00
Space group Cmce (No. 64)
Symmetry-distinct sites (fractional):
Zr 0.0000 0.1426 0.1039 x8
Zr 0.1123 0.0663 0.8843 x16
Si 0.0000 0.0000 0.0000 x4
I 0.0000 0.1534 0.7345 x8
I 0.1236 0.0894 0.2500 x16
I 0.1244 0.2393 0.9900 x16
I 0.2500 0.0000 0.0000 x8
I 0.2500 0.1496 0.7500 x8

Simulated powder XRD pattern of K3ScBr6 for Cu Kα (λ = 1.5418 Å), from a DFT-relaxed cell (PBE, Alexandria).
Peak positions follow from Bragg's law for the DFT cell and can differ from measured ones.

Peak list (10 most intense, 2θ from 15° to 90°, sorted by position)
hkl 2 1 -2, 3.514 Å, I 51; hkl 1 2 -2, 3.460 Å, I 64; hkl 1 0 2, 3.364 Å, I 92; hkl 1 0 -4, 3.339 Å, I 100; hkl 0 2 2, 3.314 Å, I 59; hkl 1 1 -4, 3.092 Å, I 37; hkl 2 2 -2, 2.828 Å, I 47; hkl 1 3 -1, 2.593 Å, I 36; hkl 2 2 0, 2.528 Å, I 67; hkl 3 1 -1, 2.267 Å, I 40

Cell and atoms:
a b c (Å): 7.7695 8.2484 13.5112
angles (deg): 90.00 124.47 90.00
Space group P2_1/c (No. 14)
Symmetry-distinct sites (fractional):
K 0.0000 0.0000 0.0000 x2
K 0.2147 0.0790 0.7459 x4
Sc 0.5000 0.0000 0.5000 x2
Br 0.1669 0.1749 0.4443 x4
Br 0.2675 0.7283 0.4292 x4
Br 0.4027 0.0458 0.2779 x4

Simulated powder XRD pattern of CaSc2Pt3 for Cu Kα (λ = 1.5418 Å), from a DFT-relaxed cell (PBE, Alexandria).
Peak positions follow from Bragg's law for the DFT cell and can differ from measured ones.

Peak list (10 most intense, 2θ from 15° to 90°, sorted by position)
hkl 0 0 3, 3.476 Å, I 23; hkl 1 0 0, 3.313 Å, I 55; hkl 1 0 3, 2.398 Å, I 100; hkl 1 1 0, 2.342 Å, I 56; hkl 1 0 4, 2.049 Å, I 13; hkl 1 1 3, 1.943 Å, I 20; hkl 2 0 0, 1.656 Å, I 19; hkl 2 1 0, 1.481 Å, I 11; hkl 1 1 6, 1.396 Å, I 10; hkl 2 1 3, 1.363 Å, I 33

Cell and atoms:
a b c (Å): 3.3127 3.3127 10.4287
angles (deg): 90.00 90.00 90.00
Space group P4/mmm (No. 123)
Symmetry-distinct sites (fractional):
Ca 0.0000 0.0000 0.0000 x1
Sc 0.0000 0.0000 0.3377 x2
Pt 0.5000 0.5000 0.1973 x2
Pt 0.5000 0.5000 0.5000 x1